Computed X-ray powder pattern of Rb2ScRuI6 for Cu Kα (weighted mean of Kα1 and Kα2), from the GGA-PBE geometry in Alexandria.
Neutral-atom scattering factors, no anomalous dispersion.

Main lines, in order of rising 2θ (5 to 70 degrees two-theta):
d/Å, 2θ (°), I_rel
6.607, 13.40, 6
5.722, 15.49, 25
3.304, 26.99, 100
2.861, 31.26, 98
2.559, 35.07, 12
2.023, 44.80, 71
1.907, 47.68, 6
1.725, 53.08, 44
1.652, 55.64, 24
1.431, 65.22, 11

Cell and atoms:
```
10
Lattice="-4.048 4.048 5.717 4.048 -4.048 5.717 4.048 4.048 -5.717" Properties=species:S:1:pos:R:3 pbc="T T T"
Rb 4.048 0.000 2.859
Rb 0.000 4.048 2.859
Sc 0.000 0.000 0.000
Ru 0.000 0.000 5.717
I 0.000 0.000 2.925
I 2.070 2.070 0.000
I 1.978 -1.978 5.717
I -1.978 1.978 5.717
I 0.000 0.000 8.509
I 1.978 1.978 5.717
```



Computed X-ray powder pattern of MnCu2S3 for Cu Kα (weighted mean of Kα1 and Kα2), from the GGA-PBE geometry in Alexandria.
Neutral-atom scattering factors, no anomalous dispersion.

Main lines, in order of rising 2θ (5 to 70 degrees two-theta):
d/Å, 2θ (°), I_rel
3.035, 29.43, 100
2.631, 34.07, 6
2.622, 34.20, 3
1.858, 49.02, 59
1.586, 58.16, 25
1.582, 58.33, 13
1.517, 61.07, 2

Cell and atoms:
```
24
Lattice="0.000 11.163 5.243 3.721 0.000 5.243 3.721 11.163 0.000" Properties=species:S:1:pos:R:3 pbc="T T T"
Mn 3.758 7.443 5.243
Mn 5.545 13.024 7.865
Mn 3.685 14.883 5.243
Mn 5.619 20.464 7.865
Cu 3.721 11.163 10.482
Cu 1.889 1.828 2.607
Cu 3.750 3.754 5.228
Cu 1.861 5.581 2.617
Cu 1.832 9.335 2.607
Cu 3.721 11.163 5.266
Cu 5.582 16.744 7.888
Cu 3.693 18.572 5.228
S 1.886 3.711 1.311
S 3.711 5.634 3.946
S 1.836 7.452 1.311
S 3.723 9.310 3.907
S 5.593 11.215 6.568
S 3.719 13.016 3.907
S 5.580 14.892 6.529
S 3.732 16.692 3.946
S 5.584 18.597 6.529
S 3.697 9.293 9.176
S 1.850 11.110 6.568
S 3.746 13.033 9.176
```



Computed X-ray powder pattern of ThRe4N12 for Cu Kα (weighted mean of Kα1 and Kα2), from the GGA-PBE geometry in Alexandria.
Neutral-atom scattering factors, no anomalous dispersion.

Main lines, in order of rising 2θ (5 to 70 degrees two-theta):
d/Å, 2θ (°), I_rel
5.510, 16.09, 34
3.896, 22.82, 49
3.181, 28.05, 17
2.755, 32.50, 100
2.464, 36.46, 9
2.083, 43.45, 12
1.948, 46.62, 28
1.742, 52.52, 20
1.591, 57.98, 41
1.378, 68.06, 17

Cell and atoms:
```
17
Lattice="-3.896 3.896 3.896 3.896 -3.896 3.896 3.896 3.896 -3.896" Properties=species:S:1:pos:R:3 pbc="T T T"
Th 0.000 0.000 0.000
Re 1.948 1.948 -1.948
Re 1.948 -1.948 1.948
Re -1.948 1.948 1.948
Re 1.948 1.948 1.948
N 3.896 1.994 -1.994
N 3.896 -1.994 1.994
N 1.994 3.896 -1.994
N 1.903 1.903 0.000
N 1.903 0.000 1.903
N 1.994 -1.994 3.896
N 0.000 1.903 1.903
N 3.896 1.994 1.994
N -1.994 3.896 1.994
N -1.994 1.994 3.896
N 1.994 3.896 1.994
N 1.994 1.994 3.896
```